[1]
Starting from a PBE+U-relaxed structure, the XRD peak list of LiTb2MnO5 was simulated for Cu Ka.
No peak broadening, texture or thermal motion is included.

Crystal structure
```
data_LiTb2MnO5
_symmetry_space_group_name_H-M 'P 4/m b m'
_symmetry_Int_Tables_number 127
_symmetry_space_group_name_Hall '-P 4 2ab'
_cell_length_a 6.4792
_cell_length_b 6.4792
_cell_length_c 5.6959
_cell_angle_alpha 90.00
_cell_angle_beta 90.00
_cell_angle_gamma 90.00
loop_
_atom_site_label
_atom_site_fract_x
_atom_site_fract_y
_atom_site_fract_z
Li1 0.0000 0.0000 0.0000
Tb1 0.1774 0.3226 0.5000
Mn1 0.0000 0.5000 0.0000
O1 0.0000 0.0000 0.5000
O2 0.1389 0.6389 0.2432
```

Peak list (10 most intense, 5° ≤ 2θ ≤ 70°, in order of rising 2θ)
- d 5.696, I = 1000, hkl 0 0 1
- d 4.581, I = 272, hkl 1 1 0
- d 2.898, I = 320, hkl 2 1 0
- d 2.848, I = 276, hkl 0 0 2
- d 2.816, I = 567, hkl 2 0 1
- d 2.583, I = 813, hkl 2 1 1
- d 2.031, I = 579, hkl 2 1 2
- d 1.928, I = 268, hkl 3 1 1
- d 1.515, I = 235, hkl 4 1 1
- d 1.376, I = 185, hkl 4 1 2

[2]
Starting from a PBE+U-relaxed structure, the XRD peak list of Li4Mn3TeO12 was simulated for Cu Ka.
No peak broadening, texture or thermal motion is included.

Crystal structure
```
data_Li4Mn3TeO12
_symmetry_space_group_name_H-M 'P 1 2 1'
_symmetry_Int_Tables_number 3
_cell_length_a 4.9109
_cell_length_b 8.2443
_cell_length_c 5.0210
_cell_angle_alpha 90.00
_cell_angle_beta 90.15
_cell_angle_gamma 90.00
loop_
_symmetry_equiv_pos_as_xyz
'x,y,z'
'-x,y,-z'
loop_
_atom_site_label
_atom_site_fract_x
_atom_site_fract_y
_atom_site_fract_z
Li1 0.0000 0.0000 0.0000
Li2 0.0000 0.3871 0.5000
Li3 0.5000 0.5076 0.5000
Li4 0.5000 0.8976 0.0000
Mn1 0.0000 0.8030 0.5000
Mn2 0.5000 0.1005 0.5000
Mn3 0.5000 0.2869 0.0000
Te1 0.0000 0.6045 0.0000
O1 0.2054 0.6235 0.3273
O2 0.2048 0.7808 0.8236
O3 0.2445 0.4456 0.8417
O4 0.2446 0.9532 0.3429
O5 0.3065 0.1144 0.8308
O6 0.3097 0.2779 0.3312
```

Peak list (10 most intense, 5° ≤ 2θ ≤ 70°, in order of rising 2θ)
- d 8.244, I = 95, hkl 0 1 0
- d 4.288, I = 355, hkl 0 1 1
- d 4.219, I = 1000, hkl 1 1 0
- d 2.673, I = 570, hkl 1 2 -1
- d 2.411, I = 112, hkl 0 3 1
- d 2.165, I = 124, hkl 1 3 -1
- d 2.157, I = 197, hkl 1 1 -2
- d 1.720, I = 270, hkl 2 3 1
- d 1.456, I = 114, hkl 3 2 1
- d 1.429, I = 105, hkl 0 3 3

[3]
Starting from a PBE+U-relaxed structure, the XRD peak list of Li3Mn3TeO8 was simulated for Cu Ka.
No peak broadening, texture or thermal motion is included.

Crystal structure
```
data_Li3Mn3TeO8
_symmetry_space_group_name_H-M 'P 1 2/c 1'
_symmetry_Int_Tables_number 13
_cell_length_a 6.1564
_cell_length_b 6.3439
_cell_length_c 10.4536
_cell_angle_alpha 90.00
_cell_angle_beta 123.84
_cell_angle_gamma 90.00
loop_
_symmetry_equiv_pos_as_xyz
'x,y,z'
'-x,-y,-z'
'-x,y,-z+1/2'
'x,-y,z+1/2'
loop_
_atom_site_label
_atom_site_fract_x
_atom_site_fract_y
_atom_site_fract_z
Li1 0.0000 0.0000 0.0000
Li2 0.0000 0.5000 0.0000
Li3 0.5000 0.2435 0.2500
Mn1 0.0000 0.2496 0.7500
Mn2 0.5000 0.0000 0.0000
Mn3 0.5000 0.5000 0.0000
Te1 0.0000 0.2527 0.2500
O1 0.2118 0.2499 0.4749
O2 0.2188 0.4708 0.2447
O3 0.2343 0.0329 0.2586
O4 0.2818 0.2254 0.9941
```

Peak list (10 most intense, 5° ≤ 2θ ≤ 70°, in order of rising 2θ)
- d 5.120, I = 274, hkl 0 1 1
- d 4.931, I = 1000, hkl 1 0 -2
- d 2.695, I = 338, hkl 1 2 0
- d 2.659, I = 165, hkl 1 0 2
- d 2.560, I = 201, hkl 2 0 0
- d 2.208, I = 461, hkl 2 2 -2
- d 2.171, I = 224, hkl 0 0 4
- d 2.002, I = 120, hkl 1 2 -4
- d 1.570, I = 134, hkl 2 2 2
- d 1.527, I = 121, hkl 2 2 -6

[4]
Starting from a PBE+U-relaxed structure, the XRD peak list of Li3Mn3TeO8 was simulated for Cu Ka.
No peak broadening, texture or thermal motion is included.

Crystal structure
```
data_Li3Mn3TeO8
_symmetry_space_group_name_H-M 'C 1 2/c 1'
_symmetry_Int_Tables_number 15
_cell_length_a 10.8325
_cell_length_b 6.3798
_cell_length_c 10.4102
_cell_angle_alpha 90.00
_cell_angle_beta 108.38
_cell_angle_gamma 90.00
loop_
_symmetry_equiv_pos_as_xyz
'x,y,z'
'-x,-y,-z'
'-x,y,-z+1/2'
'x,-y,z+1/2'
'x+1/2,y+1/2,z'
'-x+1/2,-y+1/2,-z'
'-x+1/2,y+1/2,-z+1/2'
'x+1/2,-y+1/2,z+1/2'
loop_
_atom_site_label
_atom_site_fract_x
_atom_site_fract_y
_atom_site_fract_z
Li1 0.0000 0.2502 0.2500
Li2 0.2377 0.0227 0.2380
Mn1 0.0000 0.0000 0.0000
Mn2 0.0000 0.5000 0.0000
Mn3 0.2500 0.2500 0.0000
Te1 0.2500 0.2500 0.5000
O1 0.1070 0.2226 0.1029
O2 0.1317 0.0321 0.3924
O3 0.1424 0.4687 0.3874
O4 0.1454 0.2595 0.6214
```

Peak list (10 most intense, 5° ≤ 2θ ≤ 70°, in order of rising 2θ)
- d 5.130, I = 274, hkl 1 1 -1
- d 4.940, I = 1000, hkl 0 0 2
- d 2.710, I = 341, hkl 2 2 0
- d 2.647, I = 163, hkl 4 0 -2
- d 2.563, I = 133, hkl 2 2 -2
- d 2.225, I = 463, hkl 2 2 2
- d 2.152, I = 216, hkl 4 0 -4
- d 1.999, I = 120, hkl 2 2 -4
- d 1.571, I = 131, hkl 6 2 -2
- d 1.524, I = 124, hkl 2 2 -6

[5]
Starting from a PBE+U-relaxed structure, the XRD peak list of Li4Ti3Mn3Te2O16 was simulated for Cu Ka.
No peak broadening, texture or thermal motion is included.

Crystal structure
```
data_Li4Ti3Mn3Te2O16
_symmetry_space_group_name_H-M 'C 1 m 1'
_symmetry_Int_Tables_number 8
_cell_length_a 10.5536
_cell_length_b 6.0188
_cell_length_c 10.3074
_cell_angle_alpha 90.00
_cell_angle_beta 90.02
_cell_angle_gamma 90.00
loop_
_symmetry_equiv_pos_as_xyz
'x,y,z'
'x,-y,z'
'x+1/2,y+1/2,z'
'x+1/2,-y+1/2,z'
loop_
_atom_site_label
_atom_site_fract_x
_atom_site_fract_y
_atom_site_fract_z
Li1 0.0000 0.0000 0.0000
Li2 0.0117 0.0000 0.4982
Li3 0.1804 0.5000 0.5888
Li4 0.3388 0.0000 0.0901
Ti1 0.3347 0.5000 0.2695
Ti2 0.4229 0.2486 0.7684
Mn1 0.0938 0.2497 0.2787
Mn2 0.1790 0.0000 0.7781
Te1 0.1505 0.5000 0.9970
Te2 0.3451 0.0000 0.4972
O1 0.0069 0.5000 0.6726
O2 0.0096 0.0000 0.6789
O3 0.0128 0.0000 0.1858
O4 0.0216 0.5000 0.1326
O5 0.0774 0.2478 0.9000
O6 0.1745 0.5000 0.3755
O7 0.1799 0.0000 0.4121
O8 0.2554 0.2689 0.1740
O9 0.2853 0.2351 0.6452
O10 0.3540 0.0000 0.8749
O11 0.3593 0.5000 0.8691
O12 0.4353 0.2697 0.3826
```

Peak list (10 most intense, 5° ≤ 2θ ≤ 70°, in order of rising 2θ)
- d 4.697, I = 690, hkl 2 0 -1
- d 4.663, I = 1000, hkl 1 1 -1
- d 3.670, I = 459, hkl 1 1 -2
- d 2.873, I = 653, hkl 2 0 3
- d 2.616, I = 656, hkl 3 1 -2
- d 2.599, I = 307, hkl 0 2 2
- d 2.534, I = 353, hkl 2 2 1
- d 2.080, I = 314, hkl 2 2 -3
- d 1.619, I = 345, hkl 2 2 5
- d 1.519, I = 229, hkl 6 2 0

[6]
Starting from a PBE+U-relaxed structure, the XRD peak list of Li5Ti2Mn3O10 was simulated for Cu Ka.
No peak broadening, texture or thermal motion is included.

Crystal structure
```
data_Li5Ti2Mn3O10
_symmetry_space_group_name_H-M 'P 1'
_symmetry_Int_Tables_number 1
_cell_length_a 5.5461
_cell_length_b 5.6904
_cell_length_c 8.7782
_cell_angle_alpha 87.83
_cell_angle_beta 87.25
_cell_angle_gamma 67.38
loop_
_symmetry_equiv_pos_as_xyz
'x,y,z'
loop_
_atom_site_label
_atom_site_fract_x
_atom_site_fract_y
_atom_site_fract_z
Li1 0.0000 0.0000 0.0000
Li2 0.0863 0.7639 0.3357
Li3 0.3581 0.6455 0.6436
Li4 0.4777 0.6535 0.9359
Li5 0.8577 0.5853 0.8095
Ti1 0.0899 0.4957 0.0929
Ti2 0.4794 0.2121 0.8242
Mn1 0.4990 0.9075 0.1925
Mn2 0.5463 0.9818 0.5223
Mn3 0.6914 0.3923 0.3872
O1 0.0111 0.4407 0.2934
O2 0.2164 0.5346 0.8228
O3 0.2649 0.7014 0.1259
O4 0.2843 0.1589 0.0177
O5 0.4102 0.7602 0.4308
O6 0.5230 0.8716 0.7317
O7 0.5623 0.2783 0.6025
O8 0.7175 0.0317 0.3366
O9 0.7386 0.2796 0.8951
O10 0.7811 0.7252 0.0203
```

Peak list (10 most intense, 5° ≤ 2θ ≤ 70°, in order of rising 2θ)
- d 8.766, I = 424, hkl 0 0 1
- d 5.116, I = 1000, hkl 1 0 0
- d 4.667, I = 376, hkl 1 1 0
- d 4.490, I = 701, hkl 1 0 1
- d 4.464, I = 293, hkl 0 1 -1
- d 4.211, I = 428, hkl 1 1 1
- d 3.275, I = 272, hkl 1 0 -2
- d 3.116, I = 598, hkl 1 -1 0
- d 2.532, I = 358, hkl 0 2 1
- d 2.500, I = 278, hkl 1 0 -3

[7]
Starting from a PBE+U-relaxed structure, the XRD peak list of LiTi2Mn3O10 was simulated for Cu Ka.
No peak broadening, texture or thermal motion is included.

Crystal structure
```
data_LiTi2Mn3O10
_symmetry_space_group_name_H-M 'P 1'
_symmetry_Int_Tables_number 1
_cell_length_a 5.0280
_cell_length_b 5.1153
_cell_length_c 7.9637
_cell_angle_alpha 73.28
_cell_angle_beta 72.73
_cell_angle_gamma 82.45
loop_
_symmetry_equiv_pos_as_xyz
'x,y,z'
loop_
_atom_site_label
_atom_site_fract_x
_atom_site_fract_y
_atom_site_fract_z
Li1 0.0000 0.0000 0.0000
Ti1 0.3748 0.4133 0.1104
Ti2 0.5927 0.3786 0.7583
Mn1 0.1809 0.3930 0.5347
Mn2 0.4866 0.8889 0.4309
Mn3 0.7923 0.3821 0.3352
O1 0.0285 0.5975 0.1271
O2 0.1292 0.1817 0.3785
O3 0.2978 0.6244 0.6448
O4 0.3575 0.1763 0.9725
O5 0.4528 0.6082 0.3077
O6 0.5213 0.1653 0.5569
O7 0.5965 0.6101 0.8977
O8 0.6865 0.1535 0.2136
O9 0.8425 0.5919 0.4904
O10 0.9417 0.1997 0.7504
```

Peak list (10 most intense, 5° ≤ 2θ ≤ 70°, in order of rising 2θ)
- d 7.338, I = 1000, hkl 0 0 1
- d 4.893, I = 1000, hkl 0 1 0
- d 4.795, I = 295, hkl 1 0 0
- d 3.796, I = 232, hkl 1 1 1
- d 3.395, I = 443, hkl 1 0 2
- d 3.029, I = 174, hkl -1 1 1
- d 2.154, I = 464, hkl 1 1 -2
- d 2.101, I = 435, hkl 2 -1 1
- d 2.064, I = 429, hkl 1 2 3
- d 1.480, I = 136, hkl 3 0 -1

[8]
Starting from a PBE+U-relaxed structure, the XRD peak list of Li4Ti2Mn5O12 was simulated for Cu Ka.
No peak broadening, texture or thermal motion is included.

Crystal structure
```
data_Li4Ti2Mn5O12
_symmetry_space_group_name_H-M 'P 1 21 1'
_symmetry_Int_Tables_number 4
_cell_length_a 5.2970
_cell_length_b 9.0556
_cell_length_c 10.1218
_cell_angle_alpha 90.00
_cell_angle_beta 99.37
_cell_angle_gamma 90.00
loop_
_symmetry_equiv_pos_as_xyz
'x,y,z'
'-x,y+1/2,-z'
loop_
_atom_site_label
_atom_site_fract_x
_atom_site_fract_y
_atom_site_fract_z
Li1 0.0036 0.0000 0.2606
Li2 0.0112 0.1729 0.7316
Li3 0.2564 0.1760 0.4981
Li4 0.4909 0.9963 0.7448
Ti1 0.2566 0.3464 0.0034
Ti2 0.2590 0.8499 0.5084
Mn1 0.0264 0.3249 0.2610
Mn2 0.2495 0.0131 0.0038
Mn3 0.2513 0.5181 0.5058
Mn4 0.2549 0.6719 0.9995
Mn5 0.4971 0.3394 0.7411
O1 0.1189 0.8516 0.1131
O2 0.1196 0.6787 0.6076
O3 0.1244 0.3540 0.6128
O4 0.1293 0.1776 0.1087
O5 0.1348 0.9893 0.6263
O6 0.1385 0.4875 0.1219
O7 0.3502 0.6797 0.3885
O8 0.3496 0.9881 0.3849
O9 0.3517 0.1766 0.8854
O10 0.3524 0.4866 0.8818
O11 0.3900 0.3606 0.3941
O12 0.3928 0.8563 0.8963
```

Peak list (10 most intense, 5° ≤ 2θ ≤ 70°, in order of rising 2θ)
- d 4.993, I = 472, hkl 0 0 2
- d 4.528, I = 270, hkl 0 2 0
- d 4.361, I = 167, hkl 1 1 -1
- d 3.920, I = 341, hkl 1 1 1
- d 3.354, I = 146, hkl 0 2 2
- d 2.480, I = 194, hkl 1 3 1
- d 2.174, I = 535, hkl 2 0 2
- d 2.142, I = 1000, hkl 1 3 -3
- d 1.528, I = 268, hkl 1 3 5
- d 1.524, I = 276, hkl 3 3 -1

[9]
Starting from a PBE+U-relaxed structure, the XRD peak list of Li3TiMn3O8 was simulated for Cu Ka.
No peak broadening, texture or thermal motion is included.

Crystal structure
```
data_Li3TiMn3O8
_symmetry_space_group_name_H-M 'C 1 c 1'
_symmetry_Int_Tables_number 9
_cell_length_a 6.0603
_cell_length_b 10.0734
_cell_length_c 9.7116
_cell_angle_alpha 90.00
_cell_angle_beta 95.04
_cell_angle_gamma 90.00
loop_
_symmetry_equiv_pos_as_xyz
'x,y,z'
'x,-y,z+1/2'
'x+1/2,y+1/2,z'
'x+1/2,-y+1/2,z+1/2'
loop_
_atom_site_label
_atom_site_fract_x
_atom_site_fract_y
_atom_site_fract_z
Li1 0.0000 0.0865 0.0000
Li2 0.0177 0.4040 0.5116
Li3 0.2514 0.1719 0.5038
Ti1 0.2330 0.3420 0.0594
Mn1 0.0037 0.4143 0.7810
Mn2 0.2455 0.1649 0.7750
Mn3 0.4938 0.4117 0.7737
O1 0.0084 0.0725 0.6509
O2 0.0162 0.4293 0.1527
O3 0.0186 0.2674 0.9144
O4 0.2320 0.0036 0.8850
O5 0.2323 0.4869 0.9123
O6 0.2610 0.3209 0.6588
O7 0.2744 0.1751 0.1509
O8 0.4665 0.2614 0.9022
```

Peak list (10 most intense, 5° ≤ 2θ ≤ 70°, in order of rising 2θ)
- d 4.837, I = 1000, hkl 0 0 2
- d 4.716, I = 524, hkl 1 1 -1
- d 4.467, I = 588, hkl 0 2 1
- d 4.428, I = 580, hkl 1 1 1
- d 2.550, I = 572, hkl 2 2 -1
- d 2.358, I = 374, hkl 2 2 -2
- d 2.098, I = 532, hkl 2 2 -3
- d 1.985, I = 488, hkl 0 4 3
- d 1.948, I = 438, hkl 2 2 3
- d 1.467, I = 499, hkl 2 6 0